Entry 1:
Theoretical X-ray powder pattern of IrI for Cu Kα, from DFT lattice parameters and positions (PBE).

Peak list (12 most intense, 2θ from 15° to 90°, most intense first)
- 2.037 Å, rel. 100
- 3.161 Å, rel. 86
- 3.482 Å, rel. 74
- 2.010 Å, rel. 65
- 3.769 Å, rel. 41
- 1.166 Å, rel. 34
- 1.431 Å, rel. 32
- 1.774 Å, rel. 31
- 2.557 Å, rel. 23
- 1.696 Å, rel. 14
- 1.383 Å, rel. 13
- 1.296 Å, rel. 12

Cell lengths 4.0203, 4.0203, 7.5372 Å; angles 90.00, 90.00, 120.00 degrees
Space group P6_3mc (No. 186)
Symmetry-distinct sites (fractional):
Ir  0.3333  0.6667  0.0000 (multiplicity 2)
I  0.3333  0.6667  0.6548 (multiplicity 2)

=====

Entry 2:
Theoretical X-ray powder pattern of La3IrI3 for Cu Kα, from DFT lattice parameters and positions (PBE).

Peak list (12 most intense, 2θ from 15° to 90°, most intense first)
- 3.176 Å, rel. 100
- 2.246 Å, rel. 69
- 1.420 Å, rel. 24
- 1.834 Å, rel. 23
- 1.297 Å, rel. 16
- 1.729 Å, rel. 10
- 1.588 Å, rel. 9
- 1.613 Å, rel. 9
- 3.395 Å, rel. 9
- 2.709 Å, rel. 8
- 2.491 Å, rel. 8
- 3.667 Å, rel. 7

Cell lengths 12.7041, 12.7041, 12.7041 Å; angles 90.00, 90.00, 90.00 degrees
Space group I4_132 (No. 214)
Symmetry-distinct sites (fractional):
La  0.1030  0.3530  0.1250 (multiplicity 24)
Ir  0.1250  0.1250  0.1250 (multiplicity 8)
I  0.1154  0.1346  0.6250 (multiplicity 24)

=====

Entry 3:
Theoretical X-ray powder pattern of Pr3IrI3 for Cu Kα, from DFT lattice parameters and positions (PBE).

Peak list (12 most intense, 2θ from 15° to 90°, most intense first)
- 3.154 Å, rel. 100
- 2.230 Å, rel. 69
- 1.411 Å, rel. 24
- 1.821 Å, rel. 23
- 1.288 Å, rel. 16
- 1.717 Å, rel. 10
- 1.577 Å, rel. 10
- 1.602 Å, rel. 9
- 3.372 Å, rel. 9
- 2.474 Å, rel. 8
- 2.690 Å, rel. 8
- 1.361 Å, rel. 6

Cell lengths 12.6173, 12.6173, 12.6173 Å; angles 90.00, 90.00, 90.00 degrees
Space group I4_132 (No. 214)
Symmetry-distinct sites (fractional):
Pr  0.1034  0.3534  0.1250 (multiplicity 24)
Ir  0.1250  0.1250  0.1250 (multiplicity 8)
I  0.1158  0.1342  0.6250 (multiplicity 24)